(1)
Structure and calculated powder X-ray diffraction pattern of CaYHo4Te8 (a GGA-PBE-relaxed structure; copper Kα).

Structural model:
Cell: 9.0757 9.0757 9.0757 Å, 59.95 59.95 59.95°
Sites, in units of the cell vectors:
Ca  0.0000  0.0000  0.0000
Y  0.6276  0.6276  0.6276
Ho  0.1191  0.6274  0.6274
Ho  0.2505  0.2505  0.2505
Ho  0.6274  0.1191  0.6274
Ho  0.6274  0.6274  0.1191
Te  0.3835  0.3835  0.3835
Te  0.3826  0.3826  0.8519
Te  0.3826  0.8519  0.3826
Te  0.4044  0.8667  0.8667
Te  0.8519  0.3826  0.3826
Te  0.8653  0.8653  0.8653
Te  0.8667  0.4044  0.8667
Te  0.8667  0.8667  0.4044

Main lines, sorted by position (10 to 90 degrees two-theta):
11.94 deg, I 25
22.99 deg, I 49
24.03 deg, I 15
27.81 deg, I 79
36.38 deg, I 36
39.74 deg, I 100
49.20 deg, I 20
57.46 deg, I 16
65.02 deg, I 24
72.14 deg, I 30

(2)
Structure and calculated powder X-ray diffraction pattern of CaHo7Tm2 (a GGA-PBE-relaxed structure; copper Kα).

Structural model:
Cell: 6.1290 7.0931 7.9182 Å, 102.87 97.40 106.69°
Sites, in units of the cell vectors:
Ca  0.0000  0.0000  0.0000
Ho  0.0000  0.5000  0.0000
Ho  0.2020  0.8992  0.4086
Ho  0.2029  0.4070  0.4085
Ho  0.4141  0.3064  0.7989
Ho  0.5859  0.6936  0.2011
Ho  0.7971  0.5930  0.5915
Ho  0.7980  0.1008  0.5914
Tm  0.3990  0.7953  0.7952
Tm  0.6010  0.2047  0.2048

Main lines, sorted by position (10 to 90 degrees two-theta):
30.91 deg, I 100
35.84 deg, I 50
51.58 deg, I 30
51.65 deg, I 6
61.28 deg, I 14
61.41 deg, I 28
64.39 deg, I 9
84.19 deg, I 6
84.28 deg, I 7
87.04 deg, I 8

(3)
Structure and calculated powder X-ray diffraction pattern of CaY4Ho2Tm (a GGA-PBE-relaxed structure; copper Kα).

Structural model:
Cell: 9.5818 9.5818 6.8222 Å, 110.76 110.76 88.48°
Sites, in units of the cell vectors:
Ca  0.0000  0.0000  0.0000
Ca  0.0000  0.0000  0.5000
Y  0.2545  0.7461  0.0000
Y  0.2539  0.7455  0.5000
Y  0.2651  0.2680  0.5210
Y  0.2680  0.2651  0.0210
Y  0.7320  0.7349  0.9790
Y  0.7349  0.7320  0.4790
Y  0.7455  0.2539  0.0000
Y  0.7461  0.2545  0.5000
Ho  0.0000  0.5000  0.0000
Ho  0.5000  0.0000  0.5000
Ho  0.5000  0.5000  0.0000
Ho  0.5000  0.5000  0.5000
Tm  0.0000  0.5000  0.5000
Tm  0.5000  0.0000  0.0000

Main lines, sorted by position (10 to 90 degrees two-theta):
26.67 deg, I 69
29.95 deg, I 50
30.18 deg, I 100
40.53 deg, I 44
40.71 deg, I 88
60.54 deg, I 12
60.66 deg, I 13
60.99 deg, I 13
63.84 deg, I 11
63.97 deg, I 23

Number 3 is which compound?
CaY4Ho2Tm